Computed X-ray powder pattern
Compound: PmGdTmAg
Radiation: Cu Kα X-rays
Structure: a PBE-relaxed structure
Neutral-atom scattering factors, no anomalous dispersion.

Main lines, sorted by position (10° ≤ 2θ ≤ 90°):
4.377 Å, 20.29°, I 1, hkl 1 1 1
3.791 Å, 23.47°, I 1, hkl 2 0 0
2.681 Å, 33.43°, I 100, hkl 2 2 0
2.286 Å, 39.42°, I 1, hkl 3 1 1
1.895 Å, 48.00°, I 18, hkl 4 0 0
1.695 Å, 54.09°, I 1, hkl 4 2 0
1.548 Å, 59.75°, I 37, hkl 4 2 2
1.340 Å, 70.22°, I 11, hkl 4 4 0
1.199 Å, 80.04°, I 16, hkl 6 2 0
1.094 Å, 89.57°, I 4, hkl 4 4 4

Lattice parameters (Å, degrees): 7.5819 7.5819 7.5819 90.00 90.00 90.00
Fractional positions:
Pm  0.0000  0.0000  0.0000
Pm  0.0000  0.5000  0.5000
Pm  0.5000  0.0000  0.5000
Pm  0.5000  0.5000  0.0000
Gd  0.2500  0.2500  0.2500
Gd  0.2500  0.7500  0.7500
Gd  0.7500  0.2500  0.7500
Gd  0.7500  0.7500  0.2500
Tm  0.2500  0.2500  0.7500
Tm  0.2500  0.7500  0.2500
Tm  0.7500  0.2500  0.2500
Tm  0.7500  0.7500  0.7500
Ag  0.0000  0.0000  0.5000
Ag  0.0000  0.5000  0.0000
Ag  0.5000  0.0000  0.0000
Ag  0.5000  0.5000  0.5000

***

Computed X-ray powder pattern
Compound: PrGdAgSn
Radiation: Cu Kα X-rays
Structure: a PBE-relaxed structure
Neutral-atom scattering factors, no anomalous dispersion.

Main lines, sorted by position (10° ≤ 2θ ≤ 90°):
3.795 Å, 23.44°, I 2, hkl 2 0 0
2.684 Å, 33.39°, I 100, hkl 2 2 0
2.191 Å, 41.20°, I 1, hkl 2 2 2
1.898 Å, 47.94°, I 18, hkl 4 0 0
1.697 Å, 54.03°, I 1, hkl 4 2 0
1.549 Å, 59.68°, I 37, hkl 4 2 2
1.342 Å, 70.13°, I 12, hkl 4 4 0
1.200 Å, 79.93°, I 16, hkl 6 2 0
1.096 Å, 89.44°, I 4, hkl 4 4 4

Lattice parameters (Å, degrees): 7.5905 7.5905 7.5905 90.00 90.00 90.00
Fractional positions:
Pr  0.0000  0.0000  0.0000
Pr  0.0000  0.5000  0.5000
Pr  0.5000  0.0000  0.5000
Pr  0.5000  0.5000  0.0000
Gd  0.0000  0.0000  0.5000
Gd  0.0000  0.5000  0.0000
Gd  0.5000  0.0000  0.0000
Gd  0.5000  0.5000  0.5000
Ag  0.2500  0.2500  0.7500
Ag  0.2500  0.7500  0.2500
Ag  0.7500  0.2500  0.2500
Ag  0.7500  0.7500  0.7500
Sn  0.2500  0.2500  0.2500
Sn  0.2500  0.7500  0.7500
Sn  0.7500  0.2500  0.7500
Sn  0.7500  0.7500  0.2500

***

Computed X-ray powder pattern
Compound: GdAgPt
Radiation: Cu Kα X-rays
Structure: a PBE-relaxed structure
Neutral-atom scattering factors, no anomalous dispersion.

Main lines, sorted by position (10° ≤ 2θ ≤ 90°):
3.829 Å, 23.23°, I 44, hkl 1 1 1
3.316 Å, 26.89°, I 4, hkl 2 0 0
2.345 Å, 38.39°, I 100, hkl 2 2 0
2.000 Å, 45.35°, I 23, hkl 3 1 1
1.658 Å, 55.41°, I 17, hkl 4 0 0
1.522 Å, 60.89°, I 10, hkl 3 3 1
1.354 Å, 69.42°, I 35, hkl 4 2 2
1.276 Å, 74.31°, I 7, hkl 5 1 1
1.172 Å, 82.23°, I 11, hkl 4 4 0
1.121 Å, 86.89°, I 8, hkl 5 3 1

Lattice parameters (Å, degrees): 6.6322 6.6322 6.6322 90.00 90.00 90.00
Fractional positions:
Gd  0.0000  0.0000  0.0000
Gd  0.0000  0.5000  0.5000
Gd  0.5000  0.0000  0.5000
Gd  0.5000  0.5000  0.0000
Ag  0.0000  0.0000  0.5000
Ag  0.0000  0.5000  0.0000
Ag  0.5000  0.0000  0.0000
Ag  0.5000  0.5000  0.5000
Pt  0.2500  0.2500  0.7500
Pt  0.2500  0.7500  0.2500
Pt  0.7500  0.2500  0.2500
Pt  0.7500  0.7500  0.7500

***

Computed X-ray powder pattern
Compound: GdAgSe2
Radiation: Cu Kα X-rays
Structure: a PBE-relaxed structure
Neutral-atom scattering factors, no anomalous dispersion.

Main lines, sorted by position (10° ≤ 2θ ≤ 90°):
3.572 Å, 24.93°, I 40, hkl 1 0 0
3.155 Å, 28.28°, I 35, hkl 0 1 1
2.450 Å, 36.69°, I 100, hkl 0 1 2
2.062 Å, 43.90°, I 45, hkl 1 1 0
1.900 Å, 47.88°, I 8, hkl 1 0 3
1.683 Å, 54.54°, I 8, hkl 0 0 4
1.578 Å, 58.50°, I 25, hkl 2 0 2
1.304 Å, 72.50°, I 20, hkl 1 1 4
1.253 Å, 75.93°, I 23, hkl 1 2 2
1.191 Å, 80.69°, I 7, hkl 3 0 0

Lattice parameters (Å, degrees): 4.1249 4.1249 6.7305 90.00 90.00 120.00
Fractional positions:
Gd  0.0000  0.0000  0.0000
Ag  0.0000  0.0000  0.5000
Se  0.3333  0.6667  0.2486
Se  0.6667  0.3333  0.7514